Diffraction record for K4U3MnS12. The XRD peak list is simulated, not measured: it uses a GGA-PBE-relaxed structure and Cu Ka.
No peak broadening, texture or thermal motion is included.

Structural model:
abc: 10.200 10.200 10.200
angles: 90.00 90.00 90.00
Space group Im-3m (No. 229)
Inequivalent atoms, fractional coordinates:
K (0.250, 0.250, 0.250) [8 per cell]
U (0.000, 0.000, 0.500) [6 per cell]
Mn (0.000, 0.000, 0.000) [2 per cell]
S (0.000, 0.000, 0.255) [12 per cell]
S (0.000, 0.250, 0.500) [12 per cell]

Most intense lines, 15° ≤ 2θ ≤ 90°, low angle first:
| 2theta | d_spacing | intensity | (hkl) |
| --- | --- | --- | --- |
| 17.4 | 5.100 | 972 | 2 0 0 |
| 24.7 | 3.606 | 1000 | 2 2 0 |
| 35.2 | 2.550 | 582 | 4 0 0 |
| 39.5 | 2.281 | 509 | 4 2 0 |
| 43.5 | 2.082 | 458 | 4 2 2 |
| 50.6 | 1.803 | 395 | 4 4 0 |
| 53.9 | 1.700 | 264 | 6 0 0 |
| 57.1 | 1.613 | 207 | 6 2 0 |
| 68.9 | 1.363 | 239 | 6 4 2 |
| 85.1 | 1.140 | 184 | 8 4 0 |